(1)
Diffraction record for Pm5Sm4Y. The powder X-ray diffraction pattern is simulated, not measured: it uses the GGA-PBE geometry in Alexandria and Cu Kα X-rays.

a b c (Å): 10.6140 10.6140 6.1659
angles (deg): 90.00 90.00 90.00
Space group I4mm (No. 107)
Unique sites:
1 Pm 0.0000 0.0000 0.0000 [2 per cell]
2 Pm 0.1893 0.1893 0.2669 [8 per cell]
3 Sm 0.0000 0.3249 0.7494 [8 per cell]
4 Y 0.0000 0.0000 0.5341 [2 per cell]

Top 10 peaks for 2θ = 10–80°, sorted by position:
| hkl | d [Å] | I (rel.) |
| --- | --- | --- |
| 0 0 2 | 3.083 | 17 |
| 3 0 1 | 3.069 | 100 |
| 1 1 2 | 2.852 | 11 |
| 2 0 2 | 2.666 | 15 |
| 4 0 0 | 2.655 | 12 |
| 3 3 0 | 2.502 | 37 |
| 3 3 2 | 1.943 | 15 |
| 3 0 3 | 1.777 | 17 |
| 6 0 0 | 1.769 | 11 |
| 6 3 1 | 1.533 | 23 |



(2)
Diffraction record for NdPu3Th4S8. The powder X-ray diffraction pattern is simulated, not measured: it uses the GGA-PBE geometry in Alexandria and Cu Kα X-rays.

a b c (Å): 7.9749 7.9749 19.8347
angles (deg): 90.00 90.00 120.00
Space group R-3m (No. 166, hexagonal axes)
Unique sites:
1 Nd 0.0000 0.0000 0.0000 [3 per cell]
2 Pu 0.0000 0.5000 0.0000 [9 per cell]
3 Th 0.0000 0.0000 0.5000 [3 per cell]
4 Th 0.0000 0.5000 0.5000 [9 per cell]
5 S 0.0000 0.0000 0.2541 [6 per cell]
6 S 0.0046 0.5023 0.2525 [18 per cell]

Top 10 peaks for 2θ = 10–80°, sorted by position:
| hkl | d [Å] | I (rel.) |
| --- | --- | --- |
| 0 0 6 | 3.306 | 26 |
| 2 0 2 | 3.261 | 76 |
| 0 2 4 | 2.834 | 100 |
| 2 0 8 | 2.014 | 38 |
| 2 2 0 | 1.994 | 37 |
| 0 2 10 | 1.720 | 13 |
| 2 2 6 | 1.707 | 26 |
| 4 0 4 | 1.631 | 19 |
| 2 2 12 | 1.272 | 17 |
| 2 4 4 | 1.262 | 17 |



(3)
Diffraction record for Re4OsRu. The powder X-ray diffraction pattern is simulated, not measured: it uses the GGA-PBE geometry in Alexandria and Cu Kα X-rays.

a b c (Å): 4.4118 2.7677 14.4048
angles (deg): 90.00 90.00 90.00
Space group Amm2 (No. 38)
Unique sites:
1 Re 0.0000 0.0000 0.0000 [2 per cell]
2 Re 0.0000 0.0000 0.3310 [2 per cell]
3 Re 0.5000 0.0000 0.1095 [2 per cell]
4 Re 0.5000 0.0000 0.7775 [2 per cell]
5 Os 0.5000 0.0000 0.4440 [2 per cell]
6 Ru 0.0000 0.0000 0.6644 [2 per cell]

Top 10 peaks for 2θ = 10–80°, sorted by position:
| hkl | d [Å] | I (rel.) |
| --- | --- | --- |
| 0 0 2 | 7.202 | 3 |
| 1 0 0 | 4.412 | 1 |
| 1 0 2 | 3.762 | 1 |
| 0 0 6 | 2.399 | 25 |
| 2 0 0 | 2.206 | 25 |
| 1 1 3 | 2.107 | 100 |
| 2 0 6 | 1.624 | 15 |
| 0 2 0 | 1.385 | 17 |
| 3 1 3 | 1.254 | 19 |
| 0 0 12 | 1.200 | 1 |



(4)
Diffraction record for YHoCuNi. The powder X-ray diffraction pattern is simulated, not measured: it uses the GGA-PBE geometry in Alexandria and Cu Kα X-rays.

a b c (Å): 4.3832 3.7028 10.2225
angles (deg): 90.00 90.00 90.00
Space group Amm2 (No. 38)
Unique sites:
1 Y 0.0000 0.0000 0.0000 [2 per cell]
2 Ho 0.5000 0.0000 0.7216 [2 per cell]
3 Cu 0.5000 0.0000 0.4315 [2 per cell]
4 Ni 0.0000 0.0000 0.2869 [2 per cell]

Top 10 peaks for 2θ = 10–80°, sorted by position:
| hkl | d [Å] | I (rel.) |
| --- | --- | --- |
| 1 0 2 | 3.327 | 26 |
| 1 1 1 | 2.726 | 100 |
| 0 0 4 | 2.556 | 23 |
| 0 1 3 | 2.507 | 38 |
| 1 0 4 | 2.208 | 21 |
| 2 0 0 | 2.192 | 30 |
| 1 1 3 | 2.176 | 56 |
| 0 2 0 | 1.852 | 20 |
| 2 1 3 | 1.650 | 21 |
| 2 2 0 | 1.414 | 14 |